(1)
NbCr3Ag2S8: theoretical PXRD pattern (a wavelength of 1.5418 Å), based on the GGA-PBE geometry in the Materials Project.

Most intense lines, 10 to 90 degrees two-theta, by angle:
Position (°2θ)	I (rel.)
24.31	26
24.49	54
28.65	100
28.93	52
34.67	16
45.57	39
46.15	22
50.20	61

Cell and atoms:
```
NbCr3Ag2S8
1.0
7.305 0.000 0.000
0.000 7.331 0.000
0.000 0.000 10.211
Nb Cr Ag S
2 6 4 16
Direct
0.000 0.204 0.250
0.000 0.796 0.750
0.237 0.000 0.500
0.246 0.500 0.500
0.500 0.244 0.250
0.500 0.756 0.750
0.754 0.500 0.000
0.763 0.000 0.000
0.269 0.278 0.884
0.269 0.722 0.116
0.731 0.278 0.616
0.731 0.722 0.384
0.021 0.253 0.489
0.021 0.747 0.511
0.250 0.458 0.263
0.250 0.542 0.737
0.260 0.003 0.261
0.260 0.997 0.739
0.455 0.245 0.484
0.455 0.755 0.516
0.545 0.245 0.016
0.545 0.755 0.984
0.740 0.003 0.239
0.740 0.997 0.761
0.750 0.458 0.237
0.750 0.542 0.763
0.979 0.253 0.011
0.979 0.747 0.989
```

=====

(2)
NaBr: theoretical PXRD pattern (a wavelength of 1.5418 Å), based on the GGA-PBE geometry in the Materials Project.

Most intense lines, 10 to 90 degrees two-theta, by angle:
Position (°2θ)	I (rel.)
25.60	57
29.64	100
42.42	73
50.20	26
52.60	25
61.54	12
69.78	31
77.60	23

Cell and atoms:
```
NaBr
1.0
6.028 0.000 0.000
0.000 6.028 0.000
0.000 0.000 6.028
Na Br
4 4
Direct
0.000 0.000 0.000
0.000 0.500 0.500
0.500 0.000 0.500
0.500 0.500 0.000
0.000 0.000 0.500
0.000 0.500 0.000
0.500 0.000 0.000
0.500 0.500 0.500
```

=====

(3)
Ca11AlSi3ClO18: theoretical PXRD pattern (a wavelength of 1.5418 Å), based on the GGA-PBE geometry in the Materials Project.

Most intense lines, 10 to 90 degrees two-theta, by angle:
Position (°2θ)	I (rel.)
27.19	24
31.29	100
33.85	25
40.78	11
48.49	12
48.75	11
54.00	13
58.88	10

Cell and atoms:
```
Ca11AlSi3ClO18
1.0
0.000 7.509 7.471
4.426 0.000 7.471
4.426 7.509 0.000
Ca Al Si Cl O
11 1 3 1 18
Direct
0.000 0.000 0.000
0.033 0.699 0.710
0.289 0.961 0.457
0.290 0.442 0.967
0.442 0.290 0.301
0.496 0.996 0.004
0.543 0.707 0.711
0.699 0.033 0.558
0.707 0.543 0.039
0.961 0.289 0.293
0.996 0.496 0.504
0.207 0.207 0.793
0.208 0.785 0.215
0.785 0.208 0.792
0.785 0.785 0.215
0.495 0.495 0.505
0.000 0.991 0.705
0.001 0.702 0.999
0.175 0.371 0.629
0.179 0.632 0.368
0.247 0.247 0.253
0.293 0.975 0.707
0.295 0.697 0.000
0.362 0.813 0.187
0.371 0.175 0.825
0.632 0.179 0.821
0.632 0.814 0.186
0.697 0.295 0.009
0.702 0.001 0.298
0.747 0.747 0.753
0.813 0.362 0.638
0.814 0.632 0.368
0.975 0.293 0.025
0.991 0.000 0.303
```

=====

(4)
InH4CSeO7: theoretical PXRD pattern (a wavelength of 1.5418 Å), based on the GGA-PBE geometry in the Materials Project.

Most intense lines, 10 to 90 degrees two-theta, by angle:
Position (°2θ)	I (rel.)
13.07	100
17.82	44
18.38	54
22.75	31
26.65	97
26.83	47
29.77	39
30.00	49

Cell and atoms:
```
InH4CSeO7
1.0
5.398 0.000 0.000
-1.983 6.975 0.000
-1.987 -2.200 9.004
In H C Se O
2 8 2 2 14
Direct
0.117 0.045 0.328
0.883 0.955 0.672
0.119 0.681 0.763
0.159 0.485 0.922
0.206 0.725 0.615
0.390 0.690 0.979
0.610 0.310 0.021
0.794 0.275 0.385
0.841 0.515 0.078
0.881 0.319 0.237
0.135 0.081 0.013
0.865 0.919 0.987
0.476 0.697 0.367
0.524 0.303 0.633
0.056 0.713 0.665
0.201 0.626 0.925
0.202 0.127 0.899
0.209 0.122 0.586
0.251 0.795 0.280
0.275 0.158 0.145
0.470 0.736 0.552
0.530 0.264 0.448
0.725 0.842 0.855
0.749 0.205 0.720
0.791 0.878 0.414
0.798 0.873 0.101
0.799 0.374 0.075
0.944 0.287 0.335
```

=====

(5)
MgO: theoretical PXRD pattern (a wavelength of 1.5418 Å), based on the GGA-PBE geometry in the Materials Project.

Most intense lines, 10 to 90 degrees two-theta, by angle:
Position (°2θ)	I (rel.)
37.79	18
39.88	13
40.67	44
42.39	13
43.30	100
59.64	24
61.97	56
63.84	18

Cell and atoms:
```
MgO
1.0
1.497 0.865 19.982
-1.497 0.865 19.982
0.000 -1.729 19.982
Mg O
8 8
Direct
0.000 0.000 0.000
0.085 0.085 0.085
0.208 0.208 0.208
0.376 0.376 0.376
0.500 0.500 0.500
0.624 0.624 0.624
0.792 0.792 0.792
0.915 0.915 0.915
0.146 0.146 0.146
0.269 0.269 0.269
0.313 0.313 0.313
0.438 0.438 0.438
0.562 0.562 0.562
0.687 0.687 0.687
0.731 0.731 0.731
0.854 0.854 0.854
```

=====

(6)
Cu4Bi3PbSe4O4: theoretical PXRD pattern (a wavelength of 1.5418 Å), based on the GGA-PBE geometry in the Materials Project.

Most intense lines, 10 to 90 degrees two-theta, by angle:
Position (°2θ)	I (rel.)
24.38	15
29.59	100
31.87	22
33.34	21
37.42	17
45.70	28
51.01	31
55.39	35

Cell and atoms:
```
Cu4Bi3PbSe4O4
1.0
-2.808 2.808 9.298
2.808 -2.808 9.298
2.808 2.808 -9.298
Cu Bi Pb Se O
4 3 1 4 4
Direct
0.250 0.250 0.500
0.250 0.750 0.000
0.750 0.250 0.000
0.750 0.750 0.500
0.188 0.188 0.000
0.317 0.817 0.500
0.817 0.317 0.500
0.674 0.674 0.000
0.081 0.581 0.500
0.418 0.418 0.000
0.581 0.081 0.500
0.917 0.917 0.000
0.009 0.009 0.511
0.009 0.497 0.000
0.497 0.009 0.000
0.497 0.497 0.489
```